For K2CdP2O7, the PBE geometry in OQMD gives the calculated powder XRD pattern in this record (Cu Kα, 1.54184 Å).
Peak positions follow from Bragg's law for the DFT cell and can differ from measured ones.

```
data_K2CdP2O7
_cell_length_a 9.729
_cell_length_b 5.533
_cell_length_c 12.719
_cell_angle_alpha 90.00
_cell_angle_beta 106.76
_cell_angle_gamma 90.00
_space_group_name_H-M_alt 'C 1 2/c 1'
_space_group_IT_number 15
loop_
_space_group_symop_operation_xyz
'x,y,z'
'-x,-y,-z'
'-x,y,-z+1/2'
'x,-y,z+1/2'
'x+1/2,y+1/2,z'
'-x+1/2,-y+1/2,-z'
'-x+1/2,y+1/2,-z+1/2'
'x+1/2,-y+1/2,z+1/2'
loop_
_atom_site_label
_atom_site_type_symbol
_atom_site_fract_x
_atom_site_fract_y
_atom_site_fract_z
K1 K 0.150 0.207 0.170
Cd1 Cd 0.250 0.250 0.500
P1 P 0.027 0.284 0.870
O1 O 0.000 0.148 0.750
O2 O 0.105 0.479 0.362
O3 O 0.113 0.100 0.950
O4 O 0.126 0.326 0.623
```

Principal peaks in the range 5° ≤ 2θ ≤ 70°, in order of rising 2θ:
two_theta, I_rel, hkl
14.5, 27, 0 0 2
21.0, 65, 1 1 1
26.7, 31, 1 1 -3
27.3, 27, 2 0 2
30.1, 56, 2 0 -4
31.0, 83, 1 1 3
32.0, 100, 3 1 -1
32.4, 40, 0 2 0
42.8, 29, 2 2 2
56.8, 36, 6 0 -2

For KRbCdO2, the PBE geometry in OQMD gives the calculated powder XRD pattern in this record (Cu Kα, 1.54184 Å).
Peak positions follow from Bragg's law for the DFT cell and can differ from measured ones.

```
data_KRbCdO2
_cell_length_a 3.993
_cell_length_b 3.993
_cell_length_c 14.348
_cell_angle_alpha 90.00
_cell_angle_beta 90.00
_cell_angle_gamma 90.00
_space_group_name_H-M_alt 'I 4 m m'
_space_group_IT_number 107
_space_group_name_Hall 'I 4 -2'
loop_
_atom_site_label
_atom_site_type_symbol
_atom_site_fract_x
_atom_site_fract_y
_atom_site_fract_z
K1 K 0.000 0.000 0.000
Rb1 Rb 0.000 0.000 0.660
Cd1 Cd 0.000 0.000 0.330
O1 O 0.000 0.000 0.192
O2 O 0.000 0.000 0.469
```

Principal peaks in the range 5° ≤ 2θ ≤ 70°, in order of rising 2θ:
two_theta, I_rel, hkl
12.3, 12, 0 0 2
23.1, 29, 1 0 1
29.1, 100, 1 0 3
31.7, 68, 1 1 0
37.6, 18, 0 0 6
45.4, 23, 2 0 0
50.0, 36, 1 1 6
54.9, 33, 2 1 3
60.4, 17, 2 0 6
62.8, 13, 1 0 9

For K4CdSi2O7, the PBE geometry in OQMD gives the calculated powder XRD pattern in this record (Cu Kα, 1.54184 Å).
Peak positions follow from Bragg's law for the DFT cell and can differ from measured ones.

```
data_K4CdSi2O7
_cell_length_a 6.172
_cell_length_b 6.665
_cell_length_c 6.870
_cell_angle_alpha 111.12
_cell_angle_beta 101.21
_cell_angle_gamma 104.33
_space_group_name_H-M_alt 'P -1'
_space_group_IT_number 2
loop_
_space_group_symop_operation_xyz
'x,y,z'
'-x,-y,-z'
loop_
_atom_site_label
_atom_site_type_symbol
_atom_site_fract_x
_atom_site_fract_y
_atom_site_fract_z
K1 K 0.092 0.053 0.290
K2 K 0.309 0.567 0.223
Cd1 Cd 0.500 0.000 0.000
Si1 Si 0.214 0.555 0.720
O1 O 0.000 0.500 0.500
O2 O 0.157 0.734 0.931
O3 O 0.219 0.319 0.734
O4 O 0.462 0.706 0.702
```

Principal peaks in the range 5° ≤ 2θ ≤ 70°, in order of rising 2θ:
two_theta, I_rel, hkl
14.6, 56, 0 0 1
15.9, 100, 0 1 -1
17.7, 91, 1 0 -1
21.8, 77, 1 -1 1
28.7, 61, 1 -2 1
28.9, 69, 1 1 -2
29.8, 82, 2 -1 0
35.2, 70, 1 -2 2
35.9, 72, -1 1 2
36.1, 88, 2 1 -1

For K2CdOsS4, the PBE geometry in OQMD gives the calculated powder XRD pattern in this record (Cu Kα, 1.54184 Å).
Peak positions follow from Bragg's law for the DFT cell and can differ from measured ones.

```
data_K2CdOsS4
_cell_length_a 10.378
_cell_length_b 8.054
_cell_length_c 7.343
_cell_angle_alpha 90.00
_cell_angle_beta 134.93
_cell_angle_gamma 90.00
_space_group_name_H-M_alt 'C 1 2 1'
_space_group_IT_number 5
loop_
_space_group_symop_operation_xyz
'x,y,z'
'-x,y,-z'
'x+1/2,y+1/2,z'
'-x+1/2,y+1/2,-z'
loop_
_atom_site_label
_atom_site_type_symbol
_atom_site_fract_x
_atom_site_fract_y
_atom_site_fract_z
K1 K 0.000 0.000 0.000
K2 K 0.000 0.250 0.500
Cd1 Cd 0.000 0.750 0.500
Os1 Os 0.000 0.499 0.000
S1 S 0.160 0.626 0.377
S2 S 0.218 0.372 0.058
```

Principal peaks in the range 5° ≤ 2θ ≤ 70°, in order of rising 2θ:
two_theta, I_rel, hkl
16.3, 91, 1 1 0
24.2, 38, 2 0 0
28.0, 100, 2 2 -1
29.4, 23, 3 1 -2
34.5, 34, 0 0 2
45.1, 53, 2 2 1
46.0, 17, 5 1 -2
51.8, 24, 2 4 0
58.0, 20, 0 2 3
69.3, 20, 4 2 -5

For KRbZnCdP2, the PBE geometry in OQMD gives the calculated powder XRD pattern in this record (Cu Kα, 1.54184 Å).
Peak positions follow from Bragg's law for the DFT cell and can differ from measured ones.

```
data_KRbZnCdP2
_cell_length_a 4.2840
_cell_length_b 4.2840
_cell_length_c 10.4204
_cell_angle_alpha 90.00
_cell_angle_beta 90.00
_cell_angle_gamma 120.00
_space_group_name_H-M_alt 'P 3 m 1'
_space_group_IT_number 156
loop_
_space_group_symop_operation_xyz
'x,y,z'
'-y,x-y,z'
'-x+y,-x,z'
'-y,-x,z'
'-x+y,y,z'
'x,x-y,z'
loop_
_atom_site_label
_atom_site_type_symbol
_atom_site_fract_x
_atom_site_fract_y
_atom_site_fract_z
K1 K 0.0000 0.0000 0.0000
Rb1 Rb 0.0000 0.0000 0.4964
Zn1 Zn 0.6667 0.3333 0.2390
Cd1 Cd 0.3333 0.6667 0.7573
P1 P 0.3333 0.6667 0.2397
P2 P 0.6667 0.3333 0.7565
```

Principal peaks in the range 5° ≤ 2θ ≤ 70°, in order of rising 2θ:
two_theta, I_rel, hkl
17.0, 15, 0 0 2
25.5, 32, 0 1 1
29.6, 100, 1 0 2
34.4, 23, 0 0 4
35.4, 12, 1 0 3
42.2, 40, 1 1 0
52.4, 19, 0 2 2
55.5, 33, 1 1 4
58.7, 13, 1 0 6
69.4, 15, 2 1 2

For KZn2Cd2P3, the PBE geometry in OQMD gives the calculated powder XRD pattern in this record (Cu Kα, 1.54184 Å).
Peak positions follow from Bragg's law for the DFT cell and can differ from measured ones.

```
data_KZn2Cd2P3
_cell_length_a 4.1182
_cell_length_b 4.1182
_cell_length_c 37.1311
_cell_angle_alpha 90.00
_cell_angle_beta 90.00
_cell_angle_gamma 120.00
_space_group_name_H-M_alt 'R -3 m'
_space_group_IT_number 166
_space_group_name_Hall '-R 3 2"'
loop_
_atom_site_label
_atom_site_type_symbol
_atom_site_fract_x
_atom_site_fract_y
_atom_site_fract_z
K1 K 0.0000 0.0000 0.0000
Zn1 Zn 0.0000 0.0000 0.4045
Cd1 Cd 0.0000 0.0000 0.1999
P1 P 0.0000 0.0000 0.2700
P2 P 0.0000 0.0000 0.5000
```

Principal peaks in the range 5° ≤ 2θ ≤ 70°, in order of rising 2θ:
two_theta, I_rel, hkl
7.1, 82, 0 0 3
25.4, 16, 0 1 2
27.7, 100, 0 1 5
34.9, 81, 1 0 10
36.3, 25, 0 0 15
40.5, 18, 1 0 13
44.0, 61, 1 1 0
52.8, 16, 2 0 5
57.3, 18, 0 2 10
58.3, 36, 1 1 15

For KZn2Cd2P3, the PBE geometry in OQMD gives the calculated powder XRD pattern in this record (Cu Kα, 1.54184 Å).
Peak positions follow from Bragg's law for the DFT cell and can differ from measured ones.

```
data_KZn2Cd2P3
_cell_length_a 4.3175
_cell_length_b 4.3175
_cell_length_c 33.8617
_cell_angle_alpha 90.00
_cell_angle_beta 90.00
_cell_angle_gamma 120.00
_space_group_name_H-M_alt 'R -3 m'
_space_group_IT_number 166
_space_group_name_Hall '-R 3 2"'
loop_
_atom_site_label
_atom_site_type_symbol
_atom_site_fract_x
_atom_site_fract_y
_atom_site_fract_z
K1 K 0.0000 0.0000 0.0000
Zn1 Zn 0.0000 0.0000 0.1964
Cd1 Cd 0.0000 0.0000 0.4145
P1 P 0.0000 0.0000 0.2671
P2 P 0.0000 0.0000 0.5000
```

Principal peaks in the range 5° ≤ 2θ ≤ 70°, in order of rising 2θ:
two_theta, I_rel, hkl
7.8, 33, 0 0 3
15.7, 24, 0 0 6
23.9, 28, 1 0 1
27.2, 100, 0 1 5
30.2, 14, 1 0 7
35.8, 47, 1 0 10
41.8, 74, 1 1 0
42.3, 37, 1 0 13
50.7, 17, 2 0 5
67.7, 14, 1 2 5

For K6CdPb8, the PBE geometry in OQMD gives the calculated powder XRD pattern in this record (Cu Kα, 1.54184 Å).
Peak positions follow from Bragg's law for the DFT cell and can differ from measured ones.

```
data_K6CdPb8
_cell_length_a 29.395
_cell_length_b 7.006
_cell_length_c 18.962
_cell_angle_alpha 90.00
_cell_angle_beta 116.99
_cell_angle_gamma 90.00
_space_group_name_H-M_alt 'C 1 2/m 1'
_space_group_IT_number 12
loop_
_space_group_symop_operation_xyz
'x,y,z'
'-x,-y,-z'
'-x,y,-z'
'x,-y,z'
'x+1/2,y+1/2,z'
'-x+1/2,-y+1/2,-z'
'-x+1/2,y+1/2,-z'
'x+1/2,-y+1/2,z'
loop_
_atom_site_label
_atom_site_type_symbol
_atom_site_fract_x
_atom_site_fract_y
_atom_site_fract_z
K1 K 0.013 0.000 0.217
K2 K 0.045 0.500 0.132
K3 K 0.073 0.000 0.446
K4 K 0.077 0.500 0.807
K5 K 0.087 0.500 0.608
K6 K 0.188 0.500 0.188
K7 K 0.211 0.500 0.998
K8 K 0.227 0.000 0.527
K9 K 0.250 0.000 0.311
Cd1 Cd 0.000 0.000 0.000
Cd2 Cd 0.134 0.000 0.888
Pb1 Pb 0.048 0.500 0.341
Pb2 Pb 0.080 0.000 0.701
Pb3 Pb 0.086 0.246 0.985
Pb4 Pb 0.111 0.000 0.145
Pb5 Pb 0.139 0.265 0.334
Pb6 Pb 0.154 0.500 0.487
Pb7 Pb 0.170 0.000 0.660
Pb8 Pb 0.187 0.242 0.807
Pb9 Pb 0.189 0.000 0.078
```

Principal peaks in the range 5° ≤ 2θ ≤ 70°, in order of rising 2θ:
two_theta, I_rel, hkl
5.2, 54, 0 0 1
13.5, 94, 4 0 0
14.0, 54, 2 0 -3
14.7, 45, 1 1 1
29.3, 46, 7 1 -5
29.6, 100, 2 2 2
29.9, 60, 4 2 -3
30.2, 92, 3 1 4
32.1, 73, 10 0 -1
33.3, 46, 6 0 -7

For K2Cd5Pb3, the PBE geometry in OQMD gives the calculated powder XRD pattern in this record (Cu Kα, 1.54184 Å).
Peak positions follow from Bragg's law for the DFT cell and can differ from measured ones.

```
data_K2Cd5Pb3
_cell_length_a 5.004
_cell_length_b 5.004
_cell_length_c 24.419
_cell_angle_alpha 90.00
_cell_angle_beta 90.00
_cell_angle_gamma 90.00
_space_group_name_H-M_alt 'I 4/m m m'
_space_group_IT_number 139
_space_group_name_Hall '-I 4 2'
loop_
_atom_site_label
_atom_site_type_symbol
_atom_site_fract_x
_atom_site_fract_y
_atom_site_fract_z
K1 K 0.000 0.000 0.192
Cd1 Cd 0.000 0.000 0.500
Cd2 Cd 0.000 0.500 0.082
Pb1 Pb 0.000 0.000 0.000
Pb2 Pb 0.000 0.000 0.346
```

Principal peaks in the range 5° ≤ 2θ ≤ 70°, in order of rising 2θ:
two_theta, I_rel, hkl
7.2, 69, 0 0 2
20.8, 38, 1 0 3
25.2, 9, 1 1 0
33.6, 100, 1 1 6
35.9, 48, 2 0 0
39.0, 16, 1 1 8
41.9, 14, 2 1 3
51.7, 17, 2 2 0
58.5, 14, 2 0 12
63.0, 32, 3 1 6

For KRb3Cd2Pb2, the PBE geometry in OQMD gives the calculated powder XRD pattern in this record (Cu Kα, 1.54184 Å).
Peak positions follow from Bragg's law for the DFT cell and can differ from measured ones.

```
data_KRb3Cd2Pb2
_cell_length_a 7.190
_cell_length_b 6.742
_cell_length_c 7.300
_cell_angle_alpha 90.00
_cell_angle_beta 104.42
_cell_angle_gamma 90.00
_space_group_name_H-M_alt 'P 1 m 1'
_space_group_IT_number 6
loop_
_space_group_symop_operation_xyz
'x,y,z'
'x,-y,z'
loop_
_atom_site_label
_atom_site_type_symbol
_atom_site_fract_x
_atom_site_fract_y
_atom_site_fract_z
K1 K 0.000 0.000 0.000
Rb1 Rb 0.357 0.500 0.053
Rb2 Rb 0.649 0.000 0.348
Rb3 Rb 0.712 0.500 0.707
Cd1 Cd 0.180 0.250 0.524
Pb1 Pb 0.440 0.000 0.797
Pb2 Pb 0.913 0.500 0.257
```

Principal peaks in the range 5° ≤ 2θ ≤ 70°, in order of rising 2θ:
two_theta, I_rel, hkl
15.5, 88, 1 0 -1
18.2, 42, 0 1 1
18.3, 59, 1 1 0
28.6, 100, 1 1 -2
28.8, 90, 2 1 -1
29.4, 48, 1 2 0
31.3, 40, 2 0 -2
33.4, 67, 1 2 1
36.8, 41, 0 2 2
37.1, 32, 2 2 0

For K6Cd4Sn3Se13, the PBE geometry in OQMD gives the calculated powder XRD pattern in this record (Cu Kα, 1.54184 Å).
Peak positions follow from Bragg's law for the DFT cell and can differ from measured ones.

```
data_K6Cd4Sn3Se13
_cell_length_a 15.0475
_cell_length_b 15.0475
_cell_length_c 16.1674
_cell_angle_alpha 90.00
_cell_angle_beta 90.00
_cell_angle_gamma 120.00
_space_group_name_H-M_alt 'R 3 m'
_space_group_IT_number 160
_space_group_name_Hall 'R 3 -2"'
loop_
_atom_site_label
_atom_site_type_symbol
_atom_site_fract_x
_atom_site_fract_y
_atom_site_fract_z
K1 K 0.0484 0.5242 0.0000
K2 K 0.1896 0.3792 0.6431
Cd1 Cd 0.0000 0.0000 0.9988
Cd2 Cd 0.1987 0.0993 0.2071
Sn1 Sn 0.0234 0.5117 0.7411
Se1 Se 0.0000 0.0000 0.1603
Se2 Se 0.0006 0.2951 0.1558
Se3 Se 0.0976 0.1952 0.9439
Se4 Se 0.1671 0.0836 0.3697
```

Principal peaks in the range 5° ≤ 2θ ≤ 70°, in order of rising 2θ:
two_theta, I_rel, hkl
8.7, 100, 1 0 1
14.7, 11, 0 2 1
26.4, 11, 3 0 3
27.0, 16, 3 1 2
27.9, 9, 4 0 1
28.9, 9, 2 2 3
35.8, 8, 3 3 0
39.3, 11, 3 0 6
48.1, 9, 4 3 4
48.3, 12, 4 0 7

For KZrCdSe3, the PBE geometry in OQMD gives the calculated powder XRD pattern in this record (Cu Kα, 1.54184 Å).
Peak positions follow from Bragg's law for the DFT cell and can differ from measured ones.

```
data_KZrCdSe3
_cell_length_a 8.583
_cell_length_b 3.935
_cell_length_c 10.511
_cell_angle_alpha 90.00
_cell_angle_beta 105.11
_cell_angle_gamma 90.00
_space_group_name_H-M_alt 'P 1 21/m 1'
_space_group_IT_number 11
loop_
_space_group_symop_operation_xyz
'x,y,z'
'-x,-y,-z'
'-x,y+1/2,-z'
'x,-y+1/2,z'
loop_
_atom_site_label
_atom_site_type_symbol
_atom_site_fract_x
_atom_site_fract_y
_atom_site_fract_z
K1 K 0.215 0.250 0.269
Zr1 Zr 0.355 0.750 0.839
Cd1 Cd 0.115 0.250 0.578
Se1 Se 0.130 0.250 0.842
Se2 Se 0.349 0.750 0.590
Se3 Se 0.416 0.750 0.116
```

Principal peaks in the range 5° ≤ 2θ ≤ 70°, in order of rising 2θ:
two_theta, I_rel, hkl
11.9, 100, 1 0 -1
26.3, 16, 0 0 3
27.5, 17, 1 1 1
31.0, 12, 1 0 3
31.4, 96, 2 1 0
34.2, 25, 1 0 -4
38.9, 21, 3 1 -1
43.3, 15, 2 1 -4
46.2, 35, 0 2 0
47.8, 16, 3 1 -4

What is the formula in the eighth record?
K6CdPb8